Diffraction record for Na4Np3CuN8. The PXRD pattern is computed, not measured: it uses a crystal structure in Alexandria, relaxed with GGA-PBE and Cu Kα (weighted mean of Kα1 and Kα2).

```
Na4Np3CuN8
1.0
6.0880 -3.2851 0.0000
6.0880 3.2851 0.0000
-3.7183 0.0000 5.6210
Na Np Cu N
4 3 1 8
direct
0.0000 0.0000 0.0000 Na
0.0000 0.5000 0.0000 Na
0.5000 0.0000 0.0000 Na
0.5000 0.5000 0.0000 Na
0.0000 0.0000 0.5000 Np
0.0000 0.5000 0.5000 Np
0.5000 0.0000 0.5000 Np
0.5000 0.5000 0.5000 Cu
0.2038 0.7337 0.6751 N
0.2292 0.2292 0.6887 N
0.2364 0.2364 0.2938 N
0.2663 0.7962 0.3249 N
0.7337 0.2038 0.6751 N
0.7636 0.7636 0.7062 N
0.7708 0.7708 0.3113 N
0.7962 0.2663 0.3249 N
```

Top 10 peaks for 15 to 90 degrees two-theta, in order of falling intensity:
Position (°2θ)	d [Å]	intensity
15.77	5.620	100
31.87	2.808	42
38.26	2.352	39
32.46	2.758	38
31.56	2.835	32
53.08	1.725	29
35.35	2.539	24
29.55	3.023	19
40.52	2.226	14
65.88	1.418	13



Diffraction record for Rb2MnCCl6. The PXRD pattern is computed, not measured: it uses a crystal structure in Alexandria, relaxed with GGA-PBE and Cu Kα (weighted mean of Kα1 and Kα2).

```
Rb2MnCCl6
1.0
-3.5712 3.5712 4.5469
3.5712 -3.5712 4.5469
3.5712 3.5712 -4.5469
Rb Mn C Cl
2 1 1 6
direct
0.2500 0.7500 0.5000 Rb
0.7500 0.2500 0.5000 Rb
0.0000 0.0000 0.0000 Mn
0.5000 0.5000 0.0000 C
0.2514 0.2514 0.5028 Cl
0.2514 0.7486 0.0000 Cl
0.2572 0.2572 0.0000 Cl
0.7428 0.7428 0.0000 Cl
0.7486 0.2514 0.0000 Cl
0.7486 0.7486 0.4972 Cl
```

Top 10 peaks for 15 to 90 degrees two-theta, in order of falling intensity:
Position (°2θ)	d [Å]	intensity
31.86	2.809	100
35.55	2.525	73
26.37	3.379	44
54.29	1.690	38
61.54	1.507	26
39.64	2.273	26
24.93	3.571	25
51.16	1.786	23
44.81	2.023	21
66.60	1.404	20



Diffraction record for PuTaNi. The PXRD pattern is computed, not measured: it uses a crystal structure in Alexandria, relaxed with GGA-PBE and Cu Kα (weighted mean of Kα1 and Kα2).

```
PuTaNi
1.0
0.0000 4.3174 9.0438
2.7155 0.0000 9.0438
2.7155 4.3174 0.0000
Pu Ta Ni
4 4 4
direct
0.0470 0.0470 0.2030 Pu
0.2030 0.2030 0.0470 Pu
0.7970 0.7970 0.9530 Pu
0.9530 0.9530 0.7970 Pu
0.2018 0.5482 0.2018 Ta
0.4518 0.7982 0.4518 Ta
0.5482 0.2018 0.5482 Ta
0.7982 0.4518 0.7982 Ta
0.2525 0.2525 0.4975 Ni
0.4975 0.4975 0.2525 Ni
0.5025 0.5025 0.7475 Ni
0.7475 0.7475 0.5025 Ni
```

Top 10 peaks for 15 to 90 degrees two-theta, in order of falling intensity:
Position (°2θ)	d [Å]	intensity
35.65	2.518	100
36.35	2.472	95
34.49	2.601	93
40.03	2.253	78
44.20	2.049	64
31.47	2.843	55
38.42	2.343	43
63.07	1.474	31
39.19	2.299	27
74.64	1.272	23



Diffraction record for PmYTe2O. The PXRD pattern is computed, not measured: it uses a crystal structure in Alexandria, relaxed with GGA-PBE and Cu Kα (weighted mean of Kα1 and Kα2).

```
PmYTe2O
1.0
4.2003 0.0000 0.0000
0.0000 4.2003 0.0000
0.0000 0.0000 15.7960
Pm Y Te O
2 2 4 2
direct
0.2500 0.2500 0.0690 Pm
0.7500 0.7500 0.9310 Pm
0.2500 0.2500 0.6305 Y
0.7500 0.7500 0.3695 Y
0.2500 0.2500 0.4162 Te
0.2500 0.2500 0.8117 Te
0.7500 0.7500 0.1883 Te
0.7500 0.7500 0.5838 Te
0.2500 0.7500 0.0000 O
0.7500 0.2500 0.0000 O
```

Top 10 peaks for 15 to 90 degrees two-theta, in order of falling intensity:
Position (°2θ)	d [Å]	intensity
30.09	2.970	100
27.16	3.284	78
35.56	2.525	53
43.07	2.100	43
51.67	1.769	27
57.04	1.615	27
31.08	2.877	19
37.90	2.374	18
70.96	1.328	17
62.55	1.485	14



Diffraction record for Nd2TeCl. The PXRD pattern is computed, not measured: it uses a crystal structure in Alexandria, relaxed with GGA-PBE and Cu Kα (weighted mean of Kα1 and Kα2).

```
Nd2TeCl
1.0
2.0117 1.1615 8.1797
-2.0117 1.1615 8.1797
0.0000 -2.3229 8.1797
Nd Te Cl
2 1 1
direct
0.0000 0.0000 0.0000 Nd
0.1633 0.1633 0.1633 Nd
0.5821 0.5821 0.5821 Te
0.7476 0.7476 0.7476 Cl
```

Top 10 peaks for 15 to 90 degrees two-theta, in order of falling intensity:
Position (°2θ)	d [Å]	intensity
31.49	2.841	100
36.35	2.471	75
26.59	3.352	69
45.07	2.012	50
65.04	1.434	33
56.01	1.642	19
59.23	1.560	18
44.29	2.045	17
74.61	1.272	16
77.41	1.233	16



Diffraction record for Pr2NiHg3. The PXRD pattern is computed, not measured: it uses a crystal structure in Alexandria, relaxed with GGA-PBE and Cu Kα (weighted mean of Kα1 and Kα2).

```
Pr2NiHg3
1.0
3.6814 0.0000 0.0000
0.0000 4.8163 0.0000
0.0000 0.0000 8.4548
Pr Ni Hg
2 1 3
direct
0.0000 0.0000 0.0000 Pr
0.0000 0.5000 0.4402 Pr
0.5000 0.0000 0.2802 Ni
0.5000 0.0000 0.6003 Hg
0.5000 0.5000 0.1381 Hg
0.5000 0.5000 0.7928 Hg
```

Top 10 peaks for 15 to 90 degrees two-theta, in order of falling intensity:
Position (°2θ)	d [Å]	intensity
32.39	2.764	100
36.96	2.432	67
37.35	2.408	44
32.24	2.776	42
63.37	1.468	28
50.15	1.819	24
63.61	1.463	23
24.18	3.681	19
44.65	2.029	18
49.52	1.841	17